Calculated X-ray powder pattern
Compound: Pr5Ni19
Radiation: λ = 1.5418 Å (Cu Kα)
Structure: the GGA-PBE geometry in OQMD
Intensities are scaled so that the largest is 100.

Structural model:
```
Pr5Ni19
1.0
2.503 1.445 16.178
-2.503 1.445 16.178
0.000 -2.891 16.178
Pr Ni
5 19
Direct
0.000 0.000 0.000 Pr
0.078 0.078 0.078 Pr
0.152 0.152 0.152 Pr
0.848 0.848 0.848 Pr
0.922 0.922 0.922 Pr
0.040 0.541 0.541 Ni
0.123 0.623 0.623 Ni
0.251 0.251 0.251 Ni
0.333 0.333 0.333 Ni
0.377 0.377 0.877 Ni
0.377 0.877 0.377 Ni
0.415 0.415 0.415 Ni
0.459 0.459 0.960 Ni
0.459 0.960 0.459 Ni
0.500 0.500 0.500 Ni
0.541 0.040 0.541 Ni
0.541 0.541 0.040 Ni
0.585 0.585 0.585 Ni
0.623 0.123 0.623 Ni
0.623 0.623 0.123 Ni
0.667 0.667 0.667 Ni
0.749 0.749 0.749 Ni
0.877 0.377 0.377 Ni
0.960 0.459 0.459 Ni
```

Most intense lines, 2θ from 15° to 90°, sorted by position:
31.62°, I = 35
33.08°, I = 27
35.87°, I = 43
41.70°, I = 32
42.47°, I = 100
69.00°, I = 22

---

Calculated X-ray powder pattern
Compound: Ho2LuCu4Ge4
Radiation: λ = 1.5418 Å (Cu Kα)
Structure: the GGA-PBE geometry in OQMD
Intensities are scaled so that the largest is 100.

Structural model:
```
Ho2LuCu4Ge4
1.0
-2.086 3.310 6.922
2.086 -3.310 6.922
2.086 3.310 -6.922
Ho Lu Cu Ge
2 1 4 4
Direct
0.130 0.130 0.000 Ho
0.870 0.870 0.000 Ho
0.500 0.000 0.500 Lu
0.140 0.331 0.809 Cu
0.479 0.669 0.809 Cu
0.521 0.331 0.191 Cu
0.860 0.669 0.191 Cu
0.193 0.500 0.693 Ge
0.284 0.784 0.500 Ge
0.716 0.216 0.500 Ge
0.807 0.500 0.307 Ge
```

Most intense lines, 2θ from 15° to 90°, sorted by position:
35.20°, I = 100
36.35°, I = 82
39.04°, I = 16
43.37°, I = 30
45.57°, I = 23
64.73°, I = 16

---

Calculated X-ray powder pattern
Compound: ErTm2Si4Au4
Radiation: λ = 1.5418 Å (Cu Kα)
Structure: the GGA-PBE geometry in OQMD
Intensities are scaled so that the largest is 100.

Structural model:
```
ErTm2Si4Au4
1.0
-2.126 3.461 7.063
2.126 -3.461 7.063
2.126 3.461 -7.063
Er Tm Si Au
1 2 4 4
Direct
0.000 0.000 0.000 Er
0.376 0.876 0.500 Tm
0.624 0.124 0.500 Tm
0.216 0.216 0.000 Si
0.323 0.500 0.823 Si
0.677 0.500 0.177 Si
0.784 0.784 0.000 Si
0.037 0.334 0.703 Au
0.369 0.666 0.703 Au
0.631 0.334 0.297 Au
0.963 0.666 0.297 Au
```

Most intense lines, 2θ from 15° to 90°, sorted by position:
28.28°, I = 52
34.00°, I = 100
35.50°, I = 68
38.61°, I = 61
42.53°, I = 44
43.69°, I = 44

---

Calculated X-ray powder pattern
Compound: Y2ErFe3Ni6
Radiation: λ = 1.5418 Å (Cu Kα)
Structure: the GGA-PBE geometry in OQMD
Intensities are scaled so that the largest is 100.

Structural model:
```
Y2ErFe3Ni6
1.0
2.511 1.450 8.012
-2.511 1.450 8.012
0.000 -2.899 8.012
Y Er Fe Ni
2 1 3 6
Direct
0.139 0.139 0.139 Y
0.861 0.861 0.861 Y
0.000 0.000 0.000 Er
0.333 0.333 0.333 Fe
0.500 0.500 0.500 Fe
0.667 0.667 0.667 Fe
0.082 0.582 0.582 Ni
0.418 0.418 0.918 Ni
0.418 0.918 0.418 Ni
0.582 0.082 0.582 Ni
0.582 0.582 0.082 Ni
0.918 0.418 0.418 Ni
```

Most intense lines, 2θ from 15° to 90°, sorted by position:
33.24°, I = 37
35.76°, I = 40
36.34°, I = 35
41.70°, I = 43
42.49°, I = 100
68.88°, I = 22

---

Calculated X-ray powder pattern
Compound: BiMoAs2
Radiation: λ = 1.5418 Å (Cu Kα)
Structure: the GGA-PBE geometry in OQMD
Intensities are scaled so that the largest is 100.

Structural model:
```
BiMoAs2
1.0
6.815 0.000 0.000
0.000 6.815 0.000
0.000 0.000 6.815
Bi Mo As
4 4 8
Direct
0.000 0.000 0.000 Bi
0.000 0.500 0.500 Bi
0.500 0.000 0.500 Bi
0.500 0.500 0.000 Bi
0.250 0.250 0.250 Mo
0.250 0.750 0.750 Mo
0.750 0.250 0.750 Mo
0.750 0.750 0.250 Mo
0.000 0.000 0.500 As
0.000 0.500 0.000 As
0.250 0.250 0.750 As
0.250 0.750 0.250 As
0.500 0.000 0.000 As
0.500 0.500 0.500 As
0.750 0.250 0.250 As
0.750 0.750 0.750 As
```

Most intense lines, 2θ from 15° to 90°, sorted by position:
22.60°, I = 19
37.32°, I = 100
44.07°, I = 11
53.81°, I = 17
67.31°, I = 36
79.57°, I = 11

---

Calculated X-ray powder pattern
Compound: Pr3Sn3Pb4
Radiation: λ = 1.5418 Å (Cu Kα)
Structure: the GGA-PBE geometry in OQMD
Intensities are scaled so that the largest is 100.

Structural model:
```
Pr3Sn3Pb4
1.0
2.341 -13.149 0.000
2.341 13.149 0.000
0.000 0.000 4.782
Pr Sn Pb
3 3 4
Direct
0.000 0.000 0.000 Pr
0.189 0.811 0.000 Pr
0.811 0.189 0.000 Pr
0.290 0.710 0.500 Sn
0.500 0.500 0.500 Sn
0.710 0.290 0.500 Sn
0.097 0.903 0.500 Pb
0.404 0.596 0.000 Pb
0.596 0.404 0.000 Pb
0.903 0.097 0.500 Pb
```

Most intense lines, 2θ from 15° to 90°, sorted by position:
31.70°, I = 100
34.09°, I = 18
37.62°, I = 17
38.46°, I = 16
64.22°, I = 14
65.35°, I = 13

---

Calculated X-ray powder pattern
Compound: NaLi6TaO6
Radiation: λ = 1.5418 Å (Cu Kα)
Structure: the GGA-PBE geometry in OQMD
Intensities are scaled so that the largest is 100.

Structural model:
```
NaLi6TaO6
1.0
4.076 2.353 2.385
-4.076 2.353 2.385
0.000 -4.706 2.385
Na Li Ta O
1 6 1 6
Direct
0.000 0.000 0.000 Na
0.155 0.500 0.845 Li
0.155 0.845 0.500 Li
0.500 0.155 0.845 Li
0.500 0.845 0.155 Li
0.845 0.155 0.500 Li
0.845 0.500 0.155 Li
0.500 0.500 0.500 Ta
0.226 0.226 0.583 O
0.226 0.583 0.226 O
0.417 0.774 0.774 O
0.583 0.226 0.226 O
0.774 0.417 0.774 O
0.774 0.774 0.417 O
```

Most intense lines, 2θ from 15° to 90°, sorted by position:
17.65°, I = 100
21.81°, I = 65
27.96°, I = 42
28.19°, I = 41
42.25°, I = 49
54.80°, I = 18

---

Calculated X-ray powder pattern
Compound: SrHf7O15
Radiation: λ = 1.5418 Å (Cu Kα)
Structure: the GGA-PBE geometry in OQMD
Intensities are scaled so that the largest is 100.

Structural model:
```
SrHf7O15
1.0
7.191 0.000 0.000
0.067 7.402 0.000
0.053 0.444 10.295
Sr Hf O
2 14 30
Direct
0.000 0.000 0.000 Sr
0.014 0.555 0.468 Sr
0.000 0.484 0.940 Hf
0.014 0.065 0.485 Hf
0.234 0.783 0.727 Hf
0.258 0.311 0.203 Hf
0.266 0.246 0.746 Hf
0.279 0.798 0.233 Hf
0.490 0.005 0.468 Hf
0.503 0.988 0.970 Hf
0.514 0.519 0.465 Hf
0.520 0.515 0.965 Hf
0.732 0.745 0.203 Hf
0.736 0.238 0.733 Hf
0.758 0.768 0.730 Hf
0.762 0.247 0.240 Hf
0.005 0.778 0.209 O
0.006 0.253 0.843 O
0.045 0.267 0.342 O
0.224 0.952 0.381 O
0.228 0.512 0.786 O
0.244 0.497 0.044 O
0.267 0.999 0.852 O
0.269 0.060 0.604 O
0.291 0.540 0.316 O
0.299 0.054 0.121 O
0.345 0.690 0.562 O
0.472 0.243 0.365 O
0.475 0.748 0.090 O
0.484 0.258 0.879 O
0.499 0.333 0.622 O
0.501 0.755 0.839 O
0.531 0.794 0.344 O
0.542 0.348 0.127 O
0.651 0.999 0.629 O
0.703 0.013 0.126 O
0.716 0.626 0.570 O
0.737 0.012 0.857 O
0.737 0.504 0.323 O
0.741 0.489 0.819 O
0.773 0.040 0.384 O
0.777 0.607 0.041 O
0.948 0.271 0.601 O
0.971 0.298 0.106 O
0.995 0.835 0.611 O
0.996 0.744 0.850 O
```

Most intense lines, 2θ from 15° to 90°, sorted by position:
29.12°, I = 54
30.25°, I = 52
30.38°, I = 100
34.86°, I = 25
34.96°, I = 25
50.82°, I = 27

---

Calculated X-ray powder pattern
Compound: PrErCd6
Radiation: λ = 1.5418 Å (Cu Kα)
Structure: the GGA-PBE geometry in OQMD
Intensities are scaled so that the largest is 100.

Structural model:
```
PrErCd6
1.0
5.085 0.000 0.000
0.000 5.085 0.000
0.000 0.000 7.273
Pr Er Cd
1 1 6
Direct
0.000 0.000 0.000 Pr
0.500 0.500 0.500 Er
0.000 0.000 0.500 Cd
0.000 0.500 0.259 Cd
0.000 0.500 0.741 Cd
0.500 0.000 0.259 Cd
0.500 0.000 0.741 Cd
0.500 0.500 0.000 Cd
```

Most intense lines, 2θ from 15° to 90°, sorted by position:
35.10°, I = 100
35.30°, I = 49
50.78°, I = 17
62.83°, I = 17
63.23°, I = 35
74.17°, I = 11

---

Calculated X-ray powder pattern
Compound: CuPd
Radiation: λ = 1.5418 Å (Cu Kα)
Structure: the GGA-PBE geometry in OQMD
Intensities are scaled so that the largest is 100.

Structural model:
```
CuPd
1.0
3.008 0.000 0.000
0.000 3.008 0.000
0.000 0.000 3.008
Cu Pd
1 1
Direct
0.000 0.000 0.000 Cu
0.500 0.500 0.500 Pd
```

Most intense lines, 2θ from 15° to 90°, sorted by position:
29.70°, I = 6
42.50°, I = 100
52.71°, I = 2
61.67°, I = 16
69.93°, I = 2
77.77°, I = 31

---

Calculated X-ray powder pattern
Compound: PrCo
Radiation: λ = 1.5418 Å (Cu Kα)
Structure: the GGA-PBE geometry in OQMD
Intensities are scaled so that the largest is 100.

Structural model:
```
PrCo
1.0
5.628 0.000 0.000
0.000 5.628 0.000
0.000 0.000 5.628
Pr Co
4 4
Direct
0.000 0.000 0.000 Pr
0.000 0.500 0.500 Pr
0.500 0.000 0.500 Pr
0.500 0.500 0.000 Pr
0.000 0.000 0.500 Co
0.000 0.500 0.000 Co
0.500 0.000 0.000 Co
0.500 0.500 0.500 Co
```

Most intense lines, 2θ from 15° to 90°, sorted by position:
27.45°, I = 29
31.80°, I = 100
45.59°, I = 73
56.65°, I = 25
75.55°, I = 31
84.30°, I = 23

---

Calculated X-ray powder pattern
Compound: Pr2Al
Radiation: λ = 1.5418 Å (Cu Kα)
Structure: the GGA-PBE geometry in OQMD
Intensities are scaled so that the largest is 100.

Structural model:
```
Pr2Al
1.0
6.798 0.000 0.000
0.000 5.261 0.000
0.000 0.000 10.023
Pr Al
8 4
Direct
0.034 0.250 0.202 Pr
0.184 0.250 0.575 Pr
0.316 0.750 0.075 Pr
0.466 0.750 0.702 Pr
0.534 0.250 0.298 Pr
0.684 0.250 0.925 Pr
0.816 0.750 0.425 Pr
0.966 0.750 0.798 Pr
0.205 0.250 0.895 Al
0.295 0.750 0.395 Al
0.705 0.250 0.605 Al
0.795 0.750 0.105 Al
```

Most intense lines, 2θ from 15° to 90°, sorted by position:
23.15°, I = 35
27.87°, I = 42
31.33°, I = 36
31.75°, I = 100
32.61°, I = 66
34.08°, I = 43